# Pa2MoPbO8
Simulated powder X-ray diffraction pattern, Cu Kα (weighted mean of Kα1 and Kα2). Input: a GGA+U-relaxed structure.

Atomic structure:
abc: 5.092 7.161 5.092
angles: 90.00 91.61 90.00
Space group P2/m (No. 10)
One atom of each set of equivalent atoms:
Pa  0.000  0.245  0.000 (multiplicity 2)
Mo  0.500  0.000  0.500 (multiplicity 1)
Pb  0.500  0.500  0.500 (multiplicity 1)
O  0.169  0.500  0.830 (multiplicity 2)
O  0.193  0.000  0.806 (multiplicity 2)
O  0.301  0.208  0.301 (multiplicity 4)

The 10 most intense peaks (10° ≤ 2θ ≤ 80°), by intensity:
2theta	I (rel.)	h k l
30.5	100	1 2 0
24.4	53	1 0 -1
25.1	48	1 0 1
46.9	39	2 2 -1
47.7	35	1 2 2
35.3	30	2 0 0
60.4	21	3 2 0
57.7	20	1 4 1
63.5	13	2 4 0
71.0	10	3 2 -2

---

# Mo3Pb2O8
Simulated powder X-ray diffraction pattern, Cu Kα (weighted mean of Kα1 and Kα2). Input: a GGA+U-relaxed structure.

Atomic structure:
abc: 6.4075 6.4075 12.0210
angles: 90.00 90.00 120.00
Space group P6_3mc (No. 186)
One atom of each set of equivalent atoms:
Mo  0.1656  0.3311  0.0000 (multiplicity 6)
Pb  0.3333  0.6667  0.3076 (multiplicity 2)
Pb  0.3333  0.6667  0.6849 (multiplicity 2)
O  0.0000  0.0000  0.0889 (multiplicity 2)
O  0.0350  0.5175  0.0899 (multiplicity 6)
O  0.1562  0.3124  0.4159 (multiplicity 6)
O  0.3333  0.6667  0.9090 (multiplicity 2)

The 10 most intense peaks (10° ≤ 2θ ≤ 80°), by intensity:
2theta	I (rel.)	h k l
27.5	100	1 0 3
31.6	65	1 1 2
50.2	46	2 0 5
33.1	44	2 0 1
49.0	43	2 1 3
21.8	43	1 0 2
27.8	29	1 1 0
57.5	25	2 2 0
16.0	23	1 0 0
32.3	21	2 0 0

---

# Mo2PbO6
Simulated powder X-ray diffraction pattern, Cu Kα (weighted mean of Kα1 and Kα2). Input: a GGA+U-relaxed structure.

Atomic structure:
abc: 5.3763 5.3763 5.3758
angles: 90.00 90.00 120.00
Space group P-31m (No. 162)
One atom of each set of equivalent atoms:
Mo  0.3333  0.6667  0.0000 (multiplicity 2)
Pb  0.0000  0.0000  0.5000 (multiplicity 1)
O  0.0000  0.3789  0.7968 (multiplicity 6)

The 10 most intense peaks (10° ≤ 2θ ≤ 80°), by intensity:
2theta	I (rel.)	h k l
25.3	100	1 0 1
33.3	42	1 1 0
47.9	36	1 1 2
54.9	35	2 1 1
42.3	23	2 0 1
75.8	19	4 -1 1
79.8	14	4 -2 2
70.0	14	0 0 4
59.6	10	3 0 0
38.7	9	2 0 0